Theoretical PXRD pattern of NbCu3P4O16 for Cu Kα, 1.54184 Å, from a DFT-relaxed cell (PBE, the Materials Project).
No peak broadening, texture or thermal motion is included.

The 10 most intense peaks (2θ = 10–80°), sorted by position:
| index | 2θ/deg | I (rel.) |
| --- | --- | --- |
| 0 0 2 | 17.9 | 87.0 |
| 1 0 -1 | 19.7 | 73.3 |
| 1 0 1 | 20.1 | 33.9 |
| 1 1 -1 | 24.7 | 48.7 |
| 1 1 1 | 25.0 | 76.9 |
| 0 2 0 | 29.6 | 100.0 |
| 1 1 -3 | 35.5 | 32.8 |
| 1 2 -1 | 35.8 | 25.4 |
| 1 1 3 | 36.1 | 48.2 |
| 0 1 6 | 58.0 | 27.8 |

Crystal structure
Lattice parameters (Å, degrees): 5.006 6.040 9.899 90.00 91.24 90.00
Space group Pm (No. 6)
Asymmetric unit:
1 Nb 0.000 0.000 0.000 x1
2 Cu 0.083 0.500 0.559 x1
3 Cu 0.427 0.500 0.078 x1
4 Cu 0.621 0.000 0.497 x1
5 P 0.121 0.000 0.669 x1
6 P 0.436 0.000 0.190 x1
7 P 0.610 0.500 0.383 x1
8 P 0.966 0.500 0.875 x1
9 O 0.177 0.000 0.832 x1
10 O 0.260 0.205 0.612 x2
11 O 0.266 0.500 0.903 x1
12 O 0.277 0.192 0.114 x2
13 O 0.307 0.500 0.400 x1
14 O 0.394 0.000 0.340 x1
15 O 0.662 0.500 0.229 x1
16 O 0.729 0.000 0.148 x1
17 O 0.765 0.303 0.453 x2
18 O 0.814 0.000 0.663 x1
19 O 0.837 0.292 0.950 x2
20 O 0.881 0.500 0.728 x1


Theoretical PXRD pattern of NbCuP2O8 for Cu Kα, 1.54184 Å, from a DFT-relaxed cell (PBE, the Materials Project).
No peak broadening, texture or thermal motion is included.

The 10 most intense peaks (2θ = 10–80°), sorted by position:
| index | 2θ/deg | I (rel.) |
| --- | --- | --- |
| 0 0 2 | 17.8 | 100.0 |
| 1 0 -1 | 19.3 | 63.3 |
| 1 0 1 | 19.7 | 30.0 |
| 1 1 -1 | 24.1 | 77.8 |
| 1 1 1 | 24.4 | 56.4 |
| 0 2 0 | 28.8 | 88.7 |
| 1 1 -3 | 35.1 | 64.1 |
| 1 1 3 | 35.6 | 55.8 |
| 2 2 0 | 46.0 | 23.0 |
| 0 4 0 | 59.6 | 22.0 |

Crystal structure
Lattice parameters (Å, degrees): 5.121 6.207 9.952 90.00 91.18 90.00
Space group P2_1/m (No. 11)
Asymmetric unit:
1 Nb 0.030 0.250 0.276 x2
2 Cu 0.430 0.250 0.777 x2
3 P 0.056 0.750 0.400 x2
4 P 0.396 0.750 0.903 x2
5 O 0.156 0.750 0.551 x2
6 O 0.178 0.545 0.333 x4
7 O 0.239 0.250 0.605 x2
8 O 0.241 0.561 0.828 x4
9 O 0.315 0.250 0.143 x2
10 O 0.371 0.750 0.051 x2


Theoretical PXRD pattern of Sr2SmNbCu2O8 for Cu Kα, 1.54184 Å, from a DFT-relaxed cell (PBE, the Materials Project).
No peak broadening, texture or thermal motion is included.

The 10 most intense peaks (2θ = 10–80°), sorted by position:
| index | 2θ/deg | I (rel.) |
| --- | --- | --- |
| 1 1 2 | 24.0 | 12.3 |
| 1 1 6 | 32.3 | 100.0 |
| 2 0 0 | 32.4 | 56.7 |
| 1 1 8 | 38.2 | 19.1 |
| 2 2 0 | 46.5 | 35.2 |
| 2 0 12 | 57.4 | 12.3 |
| 3 1 6 | 57.8 | 40.5 |
| 2 2 12 | 67.5 | 9.0 |
| 4 0 0 | 67.9 | 10.0 |
| 4 2 0 | 77.2 | 17.5 |

Crystal structure
Lattice parameters (Å, degrees): 5.521 5.521 23.662 90.00 90.00 90.00
Space group I4/mcm (No. 140)
Asymmetric unit:
1 Sr 0.000 0.500 0.100 x8
2 Sm 0.000 0.500 0.250 x4
3 Nb 0.000 0.000 0.000 x4
4 Cu 0.000 0.000 0.180 x8
5 O 0.000 0.000 0.084 x8
6 O 0.181 0.319 0.000 x8
7 O 0.245 0.255 0.314 x16


Theoretical PXRD pattern of Ti3NbCu3O12 for Cu Kα, 1.54184 Å, from a DFT-relaxed cell (PBE, the Materials Project).
No peak broadening, texture or thermal motion is included.

The 10 most intense peaks (2θ = 10–80°), sorted by position:
| index | 2θ/deg | I (rel.) |
| --- | --- | --- |
| 1 0 1 | 16.9 | 58.7 |
| 3 -1 1 | 29.3 | 36.1 |
| 2 2 0 | 33.9 | 100.0 |
| 2 0 2 | 34.1 | 98.6 |
| 4 -3 1 | 38.1 | 15.9 |
| 0 4 2 | 48.8 | 54.5 |
| 6 0 0 | 60.6 | 25.9 |
| 4 2 2 | 60.8 | 51.1 |
| 0 2 4 | 61.2 | 25.0 |
| 4 4 0 | 71.3 | 12.5 |

Crystal structure
Lattice parameters (Å, degrees): 10.5867 10.5867 6.4160 90.00 90.00 120.00
Space group R-3 (No. 148, hexagonal axes)
Asymmetric unit:
1 Ti 0.0000 0.5000 0.0000 x9
2 Nb 0.0000 0.0000 0.0000 x3
3 Cu 0.0000 0.5000 0.5000 x9
4 O 0.0145 0.1653 0.1735 x18
5 O 0.0446 0.2690 0.5890 x18


Theoretical PXRD pattern of Rb2NbCuSe4 for Cu Kα, 1.54184 Å, from a DFT-relaxed cell (PBE, the Materials Project).
No peak broadening, texture or thermal motion is included.

The 10 most intense peaks (2θ = 10–80°), sorted by position:
| index | 2θ/deg | I (rel.) |
| --- | --- | --- |
| 0 0 2 | 14.1 | 47.1 |
| 0 1 1 | 14.3 | 49.1 |
| 1 -1 1 | 24.4 | 30.1 |
| 0 1 -3 | 24.6 | 51.4 |
| 1 2 -1 | 26.4 | 100.0 |
| -1 1 2 | 30.1 | 93.5 |
| 2 1 4 | 37.7 | 52.2 |
| 0 3 -3 | 43.7 | 30.5 |
| 2 1 -4 | 47.8 | 30.1 |
| 2 -2 1 | 49.5 | 37.9 |

Crystal structure
Lattice parameters (Å, degrees): 5.802 7.706 12.915 85.15 77.02 67.88
Space group P1 (No. 1)
Asymmetric unit:
1 Rb 0.000 0.000 0.000 x1
2 Rb 0.120 0.498 0.786 x1
3 Rb 0.370 0.991 0.284 x1
4 Rb 0.759 0.492 0.505 x1
5 Nb 0.187 0.989 0.646 x1
6 Nb 0.932 0.490 0.145 x1
7 Cu 0.428 0.497 0.148 x1
8 Cu 0.677 0.000 0.644 x1
9 Se 0.032 0.685 0.255 x1
10 Se 0.092 0.800 0.530 x1
11 Se 0.337 0.292 0.035 x1
12 Se 0.385 0.197 0.537 x1
13 Se 0.466 0.800 0.758 x1
14 Se 0.651 0.696 0.033 x1
15 Se 0.734 0.303 0.257 x1
16 Se 0.790 0.189 0.752 x1


Theoretical PXRD pattern of Rb2NbCuSe4 for Cu Kα, 1.54184 Å, from a DFT-relaxed cell (PBE, the Materials Project).
No peak broadening, texture or thermal motion is included.

The 10 most intense peaks (2θ = 10–80°), sorted by position:
| index | 2θ/deg | I (rel.) |
| --- | --- | --- |
| 0 0 4 | 14.1 | 46.4 |
| 0 2 2 | 14.3 | 49.8 |
| 1 3 1 | 24.4 | 30.5 |
| 0 2 6 | 24.6 | 52.5 |
| 1 3 3 | 26.4 | 100.0 |
| 1 3 5 | 30.1 | 93.0 |
| 2 0 6 | 37.7 | 52.5 |
| 0 6 6 | 43.7 | 30.8 |
| 2 0 10 | 47.8 | 29.7 |
| 2 6 0 | 49.5 | 38.2 |

Crystal structure
Lattice parameters (Å, degrees): 5.802 14.278 25.170 90.00 90.00 90.00
Space group Fddd (No. 70, origin choice 2)
Asymmetric unit:
1 Rb 0.125 0.125 0.304 x16
2 Nb 0.125 0.125 0.125 x8
3 Cu 0.125 0.125 0.625 x8
4 Se 0.121 0.277 0.430 x32